(1)
# Dy2InPd4
Simulated powder diffraction line list, Cu Kα (λ = 1.5418 Å). Input: a crystal structure in Alexandria, relaxed with PBE.

The 6 most intense peaks (2θ from 5° to 70°), sorted by position:
d_spacing  Position (°2θ)  I_rel  h k l
2.592  34.6  90  2 0 2
2.514  35.7  100  0 2 0
2.309  39.0  62  3 1 0
2.259  39.9  81  3 1 -1
2.202  41.0  93  1 1 -3
1.804  50.6  61  2 2 2

Structural model:
a b c (Å): 7.831 5.028 7.544
angles (deg): 90.00 95.16 90.00
Space group C2/m (No. 12)
Asymmetric unit:
1 Dy 0.206 0.000 0.290
2 In 0.000 0.500 0.000
3 Pd 0.086 0.500 0.358
4 Pd 0.149 0.000 0.892

=====

(2)
# DyIn2Pd
Simulated powder diffraction line list, Cu Kα (λ = 1.5418 Å). Input: a crystal structure in Alexandria, relaxed with PBE.

The 6 most intense peaks (2θ from 5° to 70°), sorted by position:
d_spacing  Position (°2θ)  I_rel  h k l
2.768  32.3  63  4 0 2
2.664  33.6  86  3 3 2
2.653  33.8  100  5 0 1
2.558  35.1  38  3 0 3
2.399  37.5  58  3 2 3
2.308  39.0  53  6 0 0

Structural model:
a b c (Å): 13.850 13.850 9.217
angles (deg): 90.00 90.00 90.00
Space group I4mm (No. 107)
Asymmetric unit:
1 Dy 0.000 0.000 0.000
2 Dy 0.000 0.000 0.472
3 Dy 0.000 0.280 0.072
4 Dy 0.202 0.202 0.586
5 In 0.000 0.163 0.743
6 In 0.000 0.383 0.597
7 In 0.131 0.131 0.238
8 In 0.142 0.350 0.336
9 Pd 0.000 0.214 0.437
10 Pd 0.000 0.500 0.347
11 Pd 0.161 0.161 0.930

=====

(3)
# Pm3Dy8In
Simulated powder diffraction line list, Cu Kα (λ = 1.5418 Å). Input: a crystal structure in Alexandria, relaxed with PBE.

The 6 most intense peaks (2θ from 5° to 70°), sorted by position:
d_spacing  Position (°2θ)  I_rel  h k l
3.660  24.3  75  2 1 1
3.431  26.0  66  2 0 2
3.059  29.2  82  2 2 0
2.815  31.8  75  0 0 4
2.461  36.5  100  3 1 2
2.020  44.9  69  4 0 2

Structural model:
a b c (Å): 8.654 8.654 11.261
angles (deg): 90.00 90.00 90.00
Space group I-42m (No. 121)
Asymmetric unit:
1 Pm 0.000 0.000 0.000
2 Pm 0.000 0.500 0.250
3 Dy 0.126 0.126 0.752
4 Dy 0.249 0.249 0.012
5 In 0.000 0.000 0.500

=====

What did the first record say?
# Dy2InPd4
Simulated powder diffraction line list, Cu Kα (λ = 1.5418 Å). Input: a crystal structure in Alexandria, relaxed with PBE.

The 6 most intense peaks (2θ from 5° to 70°), sorted by position:
d_spacing  Position (°2θ)  I_rel  h k l
2.592  34.6  90  2 0 2
2.514  35.7  100  0 2 0
2.309  39.0  62  3 1 0
2.259  39.9  81  3 1 -1
2.202  41.0  93  1 1 -3
1.804  50.6  61  2 2 2

Structural model:
a b c (Å): 7.831 5.028 7.544
angles (deg): 90.00 95.16 90.00
Space group C2/m (No. 12)
Asymmetric unit:
1 Dy 0.206 0.000 0.290
2 In 0.000 0.500 0.000
3 Pd 0.086 0.500 0.358
4 Pd 0.149 0.000 0.892

=====

Copy entry 1 word for word.
# Dy2InPd4
Simulated powder diffraction line list, Cu Kα (λ = 1.5418 Å). Input: a crystal structure in Alexandria, relaxed with PBE.

The 6 most intense peaks (2θ from 5° to 70°), sorted by position:
d_spacing  Position (°2θ)  I_rel  h k l
2.592  34.6  90  2 0 2
2.514  35.7  100  0 2 0
2.309  39.0  62  3 1 0
2.259  39.9  81  3 1 -1
2.202  41.0  93  1 1 -3
1.804  50.6  61  2 2 2

Structural model:
a b c (Å): 7.831 5.028 7.544
angles (deg): 90.00 95.16 90.00
Space group C2/m (No. 12)
Asymmetric unit:
1 Dy 0.206 0.000 0.290
2 In 0.000 0.500 0.000
3 Pd 0.086 0.500 0.358
4 Pd 0.149 0.000 0.892